[1]
Structure and computed powder diffractogram of MgPaPN4 (a PBE-relaxed structure; Cu Kα X-rays).

Atomic structure:
Unit cell a=6.153 b=6.153 c=6.153 alpha=120.81 beta=114.87 gamma=93.86
Positions (direct):
Mg1 0.500 0.000 0.000
Mg2 0.500 0.500 0.500
Pa1 0.000 0.000 0.000
Pa2 0.500 0.000 0.500
P1 0.128 0.378 0.750
P2 0.872 0.622 0.250
N1 0.201 0.742 0.459
N2 0.216 0.258 0.959
N3 0.245 0.270 0.524
N4 0.245 0.721 0.976
N5 0.755 0.279 0.024
N6 0.755 0.730 0.476
N7 0.784 0.742 0.041
N8 0.799 0.258 0.541

Main lines, low angle first (2θ from 10° to 90°):
2θ = 18.01°, I 100; 2θ = 21.14°, I 37; 2θ = 29.39°, I 22; 2θ = 32.58°, I 80; 2θ = 34.48°, I 22; 2θ = 35.28°, I 31; 2θ = 40.28°, I 26; 2θ = 44.93°, I 24; 2θ = 45.92°, I 20; 2θ = 60.42°, I 22



[2]
Structure and computed powder diffractogram of MgPa2PN5 (a PBE-relaxed structure; Cu Kα X-rays).

Atomic structure:
Unit cell a=6.635 b=6.635 c=5.303 alpha=90.00 beta=90.00 gamma=90.00
Positions (direct):
Mg1 0.000 0.000 0.000
Mg2 0.500 0.500 0.000
Pa1 0.181 0.319 0.500
Pa2 0.319 0.819 0.500
Pa3 0.681 0.181 0.500
Pa4 0.819 0.681 0.500
P1 0.000 0.500 0.000
P2 0.500 0.000 0.000
N1 0.000 0.000 0.500
N2 0.133 0.633 0.234
N3 0.133 0.633 0.766
N4 0.367 0.133 0.234
N5 0.367 0.133 0.766
N6 0.500 0.500 0.500
N7 0.633 0.867 0.234
N8 0.633 0.867 0.766
N9 0.867 0.367 0.234
N10 0.867 0.367 0.766

Main lines, low angle first (2θ from 10° to 90°):
2θ = 16.72°, I 100; 2θ = 26.87°, I 21; 2θ = 30.12°, I 45; 2θ = 31.82°, I 60; 2θ = 33.81°, I 25; 2θ = 34.64°, I 87; 2θ = 45.90°, I 49; 2θ = 57.25°, I 17; 2θ = 60.08°, I 30; 2θ = 68.17°, I 21



[3]
Structure and computed powder diffractogram of Pr2MgP2N6 (a PBE-relaxed structure; Cu Kα X-rays).

Atomic structure:
Unit cell a=5.662 b=5.662 c=6.036 alpha=90.00 beta=90.00 gamma=120.00
Positions (direct):
Pr1 0.333 0.667 0.296
Pr2 0.667 0.333 0.704
Mg1 0.000 0.000 0.000
P1 0.333 0.667 0.789
P2 0.667 0.333 0.211
N1 0.096 0.358 0.779
N2 0.261 0.904 0.779
N3 0.358 0.261 0.221
N4 0.642 0.739 0.779
N5 0.739 0.096 0.221
N6 0.904 0.642 0.221

Main lines, low angle first (2θ from 10° to 90°):
2θ = 18.09°, I 68; 2θ = 23.37°, I 100; 2θ = 29.60°, I 40; 2θ = 31.60°, I 94; 2θ = 34.92°, I 77; 2θ = 39.68°, I 50; 2θ = 43.85°, I 38; 2θ = 47.80°, I 29; 2θ = 51.59°, I 32; 2θ = 58.44°, I 29



[4]
Structure and computed powder diffractogram of MgPa2N4 (a PBE-relaxed structure; Cu Kα X-rays).

Atomic structure:
Unit cell a=5.544 b=5.979 c=11.743 alpha=90.00 beta=90.00 gamma=90.00
Positions (direct):
Mg1 0.000 0.000 0.000
Mg2 0.000 0.500 0.500
Mg3 0.500 0.000 0.500
Mg4 0.500 0.500 0.000
Pa1 0.010 0.091 0.356
Pa2 0.010 0.409 0.856
Pa3 0.490 0.591 0.356
Pa4 0.490 0.909 0.856
Pa5 0.510 0.091 0.144
Pa6 0.510 0.409 0.644
Pa7 0.990 0.591 0.144
Pa8 0.990 0.909 0.644
N1 0.149 0.576 0.691
N2 0.149 0.924 0.191
N3 0.172 0.673 0.960
N4 0.172 0.827 0.460
N5 0.328 0.173 0.960
N6 0.328 0.327 0.460
N7 0.351 0.076 0.691
N8 0.351 0.424 0.191
N9 0.649 0.576 0.809
N10 0.649 0.924 0.309
N11 0.672 0.673 0.540
N12 0.672 0.827 0.040
N13 0.828 0.173 0.540
N14 0.828 0.327 0.040
N15 0.851 0.076 0.809
N16 0.851 0.424 0.309

Main lines, low angle first (2θ from 10° to 90°):
2θ = 23.15°, I 76; 2θ = 26.67°, I 70; 2θ = 30.45°, I 29; 2θ = 30.87°, I 38; 2θ = 31.74°, I 100; 2θ = 32.30°, I 39; 2θ = 44.98°, I 23; 2θ = 45.28°, I 33; 2θ = 51.13°, I 43; 2θ = 57.24°, I 23